The following is a calculated XRD peak list of BiH2Ir. It was derived from DFT lattice parameters and positions (PBE), using Cu Ka.

The 12 most intense peaks (10° ≤ 2θ ≤ 80°), in order of rising 2θ:
| 2theta | I (rel.) |
| --- | --- |
| 18.84 | 23 |
| 27.85 | 77 |
| 37.28 | 29 |
| 37.39 | 29 |
| 38.22 | 14 |
| 39.01 | 100 |
| 53.83 | 21 |
| 54.49 | 20 |
| 68.38 | 20 |
| 68.53 | 20 |
| 71.77 | 15 |
| 76.04 | 11 |

Atomic structure:
abc: 5.292 5.289 3.406
angles: 71.27 71.17 37.56
Positions (direct):
Bi: 0.000 0.000 0.000
H: 0.253 0.253 0.247
H: 0.753 0.753 0.747
Ir: 0.313 0.313 0.687